No. 1
The following is a calculated X-ray diffraction stick pattern of MgMn2S4. It was derived from a GGA-PBE-relaxed structure, using Cu Kα, 1.54184 Å.

The 6 most intense peaks (2θ from 10° to 90°), in order of falling intensity:
d 4.522, 2θ = 19.63°, I = 100, (1 0 1); d 4.644, 2θ = 19.11°, I = 71, (1 0 -1); d 2.140, 2θ = 42.22°, I = 52, (2 1 1); d 3.010, 2θ = 29.68°, I = 45, (1 0 2); d 3.079, 2θ = 29.00°, I = 41, (1 0 -2); d 2.974, 2θ = 30.05°, I = 39, (1 1 0)

Structural model:
```
data_MgMn2S4
_cell_length_a 6.031
_cell_length_b 3.418
_cell_length_c 7.053
_cell_angle_alpha 90.00
_cell_angle_beta 91.54
_cell_angle_gamma 90.00
_symmetry_space_group_name_H-M 'P 1 m 1'
_symmetry_Int_Tables_number 6
loop_
_symmetry_equiv_pos_as_xyz
'x,y,z'
'x,-y,z'
loop_
_atom_site_label
_atom_site_type_symbol
_atom_site_fract_x
_atom_site_fract_y
_atom_site_fract_z
Mg1 Mg 0.000 0.000 0.000
Mn1 Mn 0.082 0.000 0.575
Mn2 Mn 0.546 0.500 0.200
S1 S 0.308 0.500 0.474
S2 S 0.405 0.000 0.008
S3 S 0.801 0.000 0.298
S4 S 0.897 0.500 0.755
```

***

No. 2
The following is a calculated X-ray diffraction stick pattern of SrGaBO4. It was derived from a GGA-PBE-relaxed structure, using Cu Kα, 1.54184 Å.

The 6 most intense peaks (2θ from 10° to 90°), in order of falling intensity:
d 2.795, 2θ = 32.03°, I = 100, (0 2 2); d 3.934, 2θ = 22.60°, I = 72, (2 2 0); d 2.493, 2θ = 36.03°, I = 52, (1 3 2); d 2.831, 2θ = 31.60°, I = 49, (3 2 0); d 2.959, 2θ = 30.21°, I = 46, (2 4 0); d 4.507, 2θ = 19.70°, I = 40, (1 3 0)

Structural model:
```
data_SrGaBO4
_cell_length_a 9.120
_cell_length_b 15.555
_cell_length_c 5.983
_cell_angle_alpha 90.00
_cell_angle_beta 90.00
_cell_angle_gamma 90.00
_symmetry_space_group_name_H-M 'P 21 21 2'
_symmetry_Int_Tables_number 18
loop_
_symmetry_equiv_pos_as_xyz
'x,y,z'
'-x,-y,z'
'x+1/2,-y+1/2,-z'
'-x+1/2,y+1/2,-z'
loop_
_atom_site_label
_atom_site_type_symbol
_atom_site_fract_x
_atom_site_fract_y
_atom_site_fract_z
Sr1 Sr 0.074 0.121 0.003
Sr2 Sr 0.213 0.979 0.503
Ga1 Ga 0.036 0.654 0.747
Ga2 Ga 0.038 0.654 0.247
B1 B 0.020 0.187 0.500
B2 B 0.207 0.424 0.998
O1 O 0.007 0.229 0.295
O2 O 0.018 0.231 0.703
O3 O 0.031 0.099 0.503
O4 O 0.123 0.608 0.497
O5 O 0.141 0.405 0.794
O6 O 0.142 0.402 0.200
O7 O 0.154 0.646 0.996
O8 O 0.160 0.966 0.001
```

***

No. 3
The following is a calculated X-ray diffraction stick pattern of GdNi12B6. It was derived from a GGA-PBE-relaxed structure, using Cu Kα, 1.54184 Å.

The 6 most intense peaks (2θ from 10° to 90°), in order of falling intensity:
d 2.186, 2θ = 41.31°, I = 100, (1 3 1); d 2.750, 2θ = 32.56°, I = 44, (2 0 2); d 1.834, 2θ = 49.71°, I = 15, (3 0 3); d 1.944, 2θ = 46.72°, I = 14, (3 1 2); d 1.586, 2θ = 58.15°, I = 13, (3 3 0); d 1.506, 2θ = 61.60°, I = 13, (5 0 2)

Structural model:
```
data_GdNi12B6
_cell_length_a 9.5185
_cell_length_b 9.5185
_cell_length_c 7.3910
_cell_angle_alpha 90.00
_cell_angle_beta 90.00
_cell_angle_gamma 120.00
_symmetry_space_group_name_H-M 'R -3 m'
_symmetry_Int_Tables_number 166
_symmetry_space_group_name_Hall '-R 3 2"'
loop_
_atom_site_label
_atom_site_type_symbol
_atom_site_fract_x
_atom_site_fract_y
_atom_site_fract_z
Gd1 Gd 0.0000 0.0000 0.0000
Ni1 Ni 0.0000 0.3688 0.5000
Ni2 Ni 0.0884 0.1769 0.3647
B1 B 0.0447 0.5223 0.2884
```

***

No. 4
The following is a calculated X-ray diffraction stick pattern of Cs2Ta6PbCl18. It was derived from a GGA-PBE-relaxed structure, using Cu Kα, 1.54184 Å.

The 6 most intense peaks (2θ from 10° to 90°), in order of falling intensity:
d 7.104, 2θ = 12.46°, I = 100, (0 1 2); d 8.003, 2θ = 11.06°, I = 90, (1 0 1); d 5.225, 2θ = 16.97°, I = 44, (1 0 4); d 2.727, 2θ = 32.85°, I = 44, (3 -2 5); d 2.335, 2θ = 38.56°, I = 43, (0 1 11); d 2.299, 2θ = 39.18°, I = 41, (3 -2 8)

Structural model:
```
data_Cs2Ta6PbCl18
_cell_length_a 9.6864
_cell_length_b 9.6864
_cell_length_c 26.7128
_cell_angle_alpha 90.00
_cell_angle_beta 90.00
_cell_angle_gamma 120.00
_symmetry_space_group_name_H-M 'R -3'
_symmetry_Int_Tables_number 148
_symmetry_space_group_name_Hall '-R 3'
loop_
_atom_site_label
_atom_site_type_symbol
_atom_site_fract_x
_atom_site_fract_y
_atom_site_fract_z
Cs1 Cs 0.0000 0.0000 0.2234
Ta1 Ta 0.0351 0.1882 0.0442
Pb1 Pb 0.0000 0.0000 0.5000
Cl1 Cl 0.0191 0.2588 0.4355
Cl2 Cl 0.0413 0.2244 0.8943
Cl3 Cl 0.0670 0.2611 0.6662
```

***

No. 5
The following is a calculated X-ray diffraction stick pattern of Li3H2N2. It was derived from a GGA-PBE-relaxed structure, using Cu Kα, 1.54184 Å.

The 6 most intense peaks (2θ from 10° to 90°), in order of falling intensity:
d 2.866, 2θ = 31.20°, I = 100, (1 2 1); d 1.761, 2θ = 51.92°, I = 19, (0 4 2); d 1.768, 2θ = 51.70°, I = 19, (2 0 2); d 1.737, 2θ = 52.69°, I = 17, (2 4 0); d 1.520, 2θ = 60.94°, I = 7, (1 2 3); d 4.405, 2θ = 20.16°, I = 7, (1 1 0)

Structural model:
```
data_Li3H2N2
_cell_length_a 4.933
_cell_length_b 9.789
_cell_length_c 5.072
_cell_angle_alpha 90.00
_cell_angle_beta 90.00
_cell_angle_gamma 90.00
_symmetry_space_group_name_H-M 'I b a 2'
_symmetry_Int_Tables_number 45
loop_
_symmetry_equiv_pos_as_xyz
'x,y,z'
'-x,-y,z'
'-x,y,z+1/2'
'x,-y,z+1/2'
'x+1/2,y+1/2,z+1/2'
'-x+1/2,-y+1/2,z+1/2'
'-x+1/2,y+1/2,z'
'x+1/2,-y+1/2,z'
loop_
_atom_site_label
_atom_site_type_symbol
_atom_site_fract_x
_atom_site_fract_y
_atom_site_fract_z
Li1 Li 0.000 0.000 0.000
Li2 Li 0.001 0.253 0.496
H1 H 0.125 0.436 0.743
N1 N 0.221 0.136 0.248
```

***

No. 6
The following is a calculated X-ray diffraction stick pattern of Na2Al3As9O28. It was derived from a GGA-PBE-relaxed structure, using Cu Kα, 1.54184 Å.

The 6 most intense peaks (2θ from 10° to 90°), in order of falling intensity:
d 3.164, 2θ = 28.21°, I = 100, (2 -2 0); d 3.049, 2θ = 29.29°, I = 88, (0 1 -3); d 3.815, 2θ = 23.32°, I = 64, (0 2 0); d 3.459, 2θ = 25.75°, I = 48, (1 2 -2); d 5.262, 2θ = 16.85°, I = 41, (1 1 -1); d 3.956, 2θ = 22.47°, I = 41, (0 2 -2)

Structural model:
```
data_Na2Al3As9O28
_cell_length_a 7.632
_cell_length_b 9.052
_cell_length_c 9.605
_cell_angle_alpha 116.28
_cell_angle_beta 104.18
_cell_angle_gamma 100.84
_symmetry_space_group_name_H-M 'P -1'
_symmetry_Int_Tables_number 2
loop_
_symmetry_equiv_pos_as_xyz
'x,y,z'
'-x,-y,-z'
loop_
_atom_site_label
_atom_site_type_symbol
_atom_site_fract_x
_atom_site_fract_y
_atom_site_fract_z
Na1 Na 0.011 0.239 0.218
Al1 Al 0.000 0.500 0.000
Al2 Al 0.496 0.753 0.753
As1 As 0.000 0.000 0.500
As2 As 0.231 0.713 0.409
As3 As 0.237 0.222 0.910
As4 As 0.370 0.826 0.072
As5 As 0.376 0.326 0.570
O1 O 0.081 0.030 0.718
O2 O 0.081 0.533 0.225
O3 O 0.159 0.225 0.576
O4 O 0.159 0.725 0.071
O5 O 0.190 0.406 0.953
O6 O 0.193 0.912 0.457
O7 O 0.258 0.157 0.053
O8 O 0.264 0.660 0.559
O9 O 0.336 0.303 0.378
O10 O 0.338 0.805 0.881
O11 O 0.451 0.530 0.733
O12 O 0.454 0.034 0.235
O13 O 0.459 0.273 0.886
O14 O 0.459 0.779 0.391
```

***

No. 7
The following is a calculated X-ray diffraction stick pattern of NdScS3. It was derived from a GGA-PBE-relaxed structure, using Cu Kα, 1.54184 Å.

The 6 most intense peaks (2θ from 10° to 90°), in order of falling intensity:
d 3.404, 2θ = 26.18°, I = 100, (1 2 1); d 4.310, 2θ = 20.61°, I = 61, (1 1 1); d 4.813, 2θ = 18.43°, I = 45, (0 2 0); d 2.185, 2θ = 41.32°, I = 42, (3 1 1); d 2.668, 2θ = 33.59°, I = 38, (1 3 1); d 2.339, 2θ = 38.50°, I = 38, (2 1 2)

Structural model:
```
data_NdScS3
_cell_length_a 7.170
_cell_length_b 9.609
_cell_length_c 6.516
_cell_angle_alpha 90.00
_cell_angle_beta 90.00
_cell_angle_gamma 90.00
_symmetry_space_group_name_H-M 'P n m a'
_symmetry_Int_Tables_number 62
loop_
_symmetry_equiv_pos_as_xyz
'x,y,z'
'-x,-y,-z'
'-x+1/2,-y,z+1/2'
'x+1/2,y,-z+1/2'
'x+1/2,-y+1/2,-z+1/2'
'-x+1/2,y+1/2,z+1/2'
'-x,y+1/2,-z'
'x,-y+1/2,z'
loop_
_atom_site_label
_atom_site_type_symbol
_atom_site_fract_x
_atom_site_fract_y
_atom_site_fract_z
Nd1 Nd 0.097 0.250 0.038
Sc1 Sc 0.000 0.000 0.500
S1 S 0.037 0.750 0.371
S2 S 0.188 0.563 0.822
```

***

No. 8
The following is a calculated X-ray diffraction stick pattern of SrCu2Te2Cl2O6. It was derived from a GGA-PBE-relaxed structure, using Cu Kα, 1.54184 Å.

The 6 most intense peaks (2θ from 10° to 90°), in order of falling intensity:
d 5.520, 2θ = 16.06°, I = 100, (0 1 1); d 3.378, 2θ = 26.38°, I = 91, (1 1 -2); d 3.254, 2θ = 27.41°, I = 85, (2 1 0); d 3.117, 2θ = 28.64°, I = 65, (1 1 2); d 2.928, 2θ = 30.53°, I = 64, (2 1 1); d 3.145, 2θ = 28.38°, I = 63, (2 1 -1)

Structural model:
```
data_SrCu2Te2Cl2O6
_cell_length_a 7.303
_cell_length_b 7.374
_cell_length_c 8.384
_cell_angle_alpha 90.00
_cell_angle_beta 96.73
_cell_angle_gamma 90.00
_symmetry_space_group_name_H-M 'P 1 21 1'
_symmetry_Int_Tables_number 4
loop_
_symmetry_equiv_pos_as_xyz
'x,y,z'
'-x,y+1/2,-z'
loop_
_atom_site_label
_atom_site_type_symbol
_atom_site_fract_x
_atom_site_fract_y
_atom_site_fract_z
Sr1 Sr 0.126 0.000 0.060
Cu1 Cu 0.319 0.990 0.585
Cu2 Cu 0.361 0.508 0.087
Te1 Te 0.131 0.642 0.385
Te2 Te 0.351 0.367 0.767
Cl1 Cl 0.101 0.750 0.768
Cl2 Cl 0.453 0.274 0.384
O1 O 0.129 0.177 0.624
O2 O 0.141 0.625 0.158
O3 O 0.192 0.893 0.385
O4 O 0.202 0.340 0.942
O5 O 0.462 0.129 0.757
O6 O 0.462 0.948 0.065
```

***

No. 9
The following is a calculated X-ray diffraction stick pattern of KH3SO6. It was derived from a GGA-PBE-relaxed structure, using Cu Kα, 1.54184 Å.

The 6 most intense peaks (2θ from 10° to 90°), in order of falling intensity:
d 2.775, 2θ = 32.26°, I = 100, (4 2 -1); d 3.449, 2θ = 25.83°, I = 97, (0 2 1); d 3.478, 2θ = 25.61°, I = 80, (2 0 2); d 4.620, 2θ = 19.21°, I = 69, (4 0 0); d 3.077, 2θ = 29.02°, I = 48, (6 0 0); d 2.067, 2θ = 43.79°, I = 44, (2 2 -3)

Structural model:
```
data_KH3SO6
_cell_length_a 18.484
_cell_length_b 7.750
_cell_length_c 7.566
_cell_angle_alpha 90.00
_cell_angle_beta 91.07
_cell_angle_gamma 90.00
_symmetry_space_group_name_H-M 'C 1 2/c 1'
_symmetry_Int_Tables_number 15
loop_
_symmetry_equiv_pos_as_xyz
'x,y,z'
'-x,-y,-z'
'-x,y,-z+1/2'
'x,-y,z+1/2'
'x+1/2,y+1/2,z'
'-x+1/2,-y+1/2,-z'
'-x+1/2,y+1/2,-z+1/2'
'x+1/2,-y+1/2,z+1/2'
loop_
_atom_site_label
_atom_site_type_symbol
_atom_site_fract_x
_atom_site_fract_y
_atom_site_fract_z
K1 K 0.181 0.121 0.377
H1 H 0.042 0.176 0.043
H2 H 0.046 0.369 0.377
H3 H 0.050 0.311 0.574
S1 S 0.153 0.360 0.855
O1 O 0.040 0.267 0.453
O2 O 0.081 0.413 0.789
O3 O 0.093 0.121 0.038
O4 O 0.139 0.274 0.054
O5 O 0.185 0.225 0.748
O6 O 0.201 0.500 0.408
```